Entry 1:
Diffraction record for Ba2DyUO6. The X-ray diffraction stick pattern is calculated, not measured: it uses a DFT-relaxed cell (PBE, the Materials Project) and Cu Kα (λ = 1.5418 Å).

Structure:
```
data_Ba2DyUO6
_cell_length_a 8.8031
_cell_length_b 8.8031
_cell_length_c 8.8031
_cell_angle_alpha 90.00
_cell_angle_beta 90.00
_cell_angle_gamma 90.00
_space_group_name_H-M_alt 'F m -3 m'
_space_group_IT_number 225
_space_group_name_Hall '-F 4 2 3'
loop_
_atom_site_label
_atom_site_fract_x
_atom_site_fract_y
_atom_site_fract_z
Ba1 0.2500 0.2500 0.2500
Dy1 0.0000 0.0000 0.0000
U1 0.0000 0.0000 0.5000
O1 0.0000 0.0000 0.2554
```

Principal peaks in the range 2θ from 15° to 90°, in order of rising 2θ:
h k l	Position (°2θ)	d/Å	I/Imax
2 0 0	20.17	4.402	7.6
2 2 0	28.68	3.112	100.0
4 0 0	41.01	2.201	28.1
4 2 0	46.11	1.968	3.6
4 2 2	50.81	1.797	42.2
4 4 0	59.39	1.556	18.3
6 2 0	67.27	1.392	18.8
4 4 4	74.71	1.271	6.2
6 4 2	81.89	1.176	22.6
8 0 0	88.95	1.100	3.1

***

Entry 2:
Diffraction record for NdNi5Sn. The X-ray diffraction stick pattern is calculated, not measured: it uses a DFT-relaxed cell (PBE, the Materials Project) and Cu Kα (λ = 1.5418 Å).

Structure:
```
data_NdNi5Sn
_cell_length_a 4.9211
_cell_length_b 4.9211
_cell_length_c 19.7148
_cell_angle_alpha 90.00
_cell_angle_beta 90.00
_cell_angle_gamma 120.00
_space_group_name_H-M_alt 'P 63/m m c'
_space_group_IT_number 194
_space_group_name_Hall '-P 6c 2c'
loop_
_atom_site_label
_atom_site_fract_x
_atom_site_fract_y
_atom_site_fract_z
Nd1 0.0000 0.0000 0.0000
Nd2 0.3333 0.6667 0.2500
Ni1 0.0000 0.0000 0.2500
Ni2 0.1666 0.3332 0.6461
Ni3 0.3333 0.6667 0.5437
Ni4 0.3333 0.6667 0.7500
Sn1 0.3333 0.6667 0.0874
```

Principal peaks in the range 2θ from 15° to 90°, in order of rising 2θ:
h k l	Position (°2θ)	d/Å	I/Imax
1 0 6	34.47	2.602	58.2
1 1 0	36.51	2.461	100.0
1 0 7	38.31	2.350	36.9
1 1 4	41.00	2.201	56.6
2 0 0	42.39	2.132	21.6
2 0 1	42.68	2.119	44.0
1 1 6	46.08	1.970	52.3
2 1 6	64.41	1.447	27.5
1 1 12	68.73	1.366	28.2
2 2 0	77.60	1.230	30.5

***

Entry 3:
Diffraction record for Na3In2Au. The X-ray diffraction stick pattern is calculated, not measured: it uses a DFT-relaxed cell (PBE, the Materials Project) and Cu Kα (λ = 1.5418 Å).

Structure:
a b c (Å): 13.6577 13.6577 13.6577
angles (deg): 90.00 90.00 90.00
Space group Fd-3m (No. 227, origin choice 2)
One atom of each set of equivalent atoms:
Na  0.0770  0.3750  0.3750
In  0.0406  0.0406  0.7094
Au  0.0000  0.0000  0.5000

Principal peaks in the range 2θ from 15° to 90°, in order of rising 2θ:
h k l	Position (°2θ)	d/Å	I/Imax
4 0 0	26.10	3.414	49.1
5 1 1	34.11	2.628	100.0
4 4 0	37.24	2.414	52.8
5 3 1	39.02	2.309	35.2
4 4 2	39.59	2.276	21.0
5 3 3	43.45	2.083	20.7
6 2 2	43.98	2.059	26.5
7 5 3	61.89	1.499	16.1
9 3 3	68.34	1.373	22.8
10 2 2	71.83	1.314	22.2